(1)
This entry pairs a crystal structure of LiSbBr2 with its calculated powder X-ray diffraction pattern. Radiation: Cu Kα X-rays. Structure: DFT lattice parameters and positions (PBE).

The 6 most intense peaks (15° ≤ 2θ ≤ 90°), by angle:
| h k l | two_theta | I_rel |
| --- | --- | --- |
| 0 0 1 | 15.87 | 45.7 |
| 1 0 0 | 25.43 | 100.0 |
| 0 2 0 | 29.34 | 77.2 |
| 0 0 2 | 32.05 | 45.0 |
| 1 2 0 | 39.20 | 62.6 |
| 0 2 2 | 44.00 | 36.8 |

Cell and atoms:
Lattice parameters (Å, degrees): 3.689 6.091 5.874 90.00 108.08 90.00
Space group Pm (No. 6)
Unique sites:
1 Li 0.000 0.000 0.000
2 Sb 0.334 0.500 0.670
3 Br 0.088 0.500 0.175
4 Br 0.354 0.000 0.705

(2)
This entry pairs a crystal structure of Pu4GeAs2 with its calculated powder X-ray diffraction pattern. Radiation: Cu Kα X-rays. Structure: DFT lattice parameters and positions (PBE).

The 6 most intense peaks (15° ≤ 2θ ≤ 90°), by angle:
| h k l | two_theta | I_rel |
| --- | --- | --- |
| 1 1 2 | 24.89 | 39.8 |
| 3 0 1 | 32.30 | 100.0 |
| 3 2 1 | 38.43 | 80.2 |
| 4 2 2 | 51.05 | 31.4 |
| 3 1 4 | 53.30 | 39.2 |
| 6 1 1 | 65.67 | 25.4 |

Cell and atoms:
Lattice parameters (Å, degrees): 8.763 8.763 8.766 90.00 90.00 90.00
Space group I-42d (No. 122)
Unique sites:
1 Pu 0.074 0.175 0.300
2 Ge 0.000 0.000 0.000
3 As 0.125 0.250 0.625